(1)
# LaTb15Sm4
Calculated powder XRD pattern, Cu Kα, 1.54184 Å. Input: a cell relaxed with PBE.

Peak list (5 most intense, 5 to 70 degrees two-theta, by intensity)
- d = 2.928 Å, rel. 100
- d = 2.536 Å, rel. 51
- d = 1.529 Å, rel. 43
- d = 1.793 Å, rel. 36
- d = 1.464 Å, rel. 12

abc: 5.074 5.074 25.322
angles: 90.00 90.00 90.00
Space group P4/mmm (No. 123)
Inequivalent atoms, fractional coordinates:
La 0.000 0.000 0.000 (multiplicity 1)
Tb 0.000 0.500 0.102 (multiplicity 4)
Tb 0.000 0.500 0.301 (multiplicity 4)
Tb 0.000 0.500 0.500 (multiplicity 2)
Tb 0.500 0.500 0.000 (multiplicity 1)
Tb 0.500 0.500 0.201 (multiplicity 2)
Tb 0.500 0.500 0.400 (multiplicity 2)
Sm 0.000 0.000 0.201 (multiplicity 2)
Sm 0.000 0.000 0.400 (multiplicity 2)

(2)
# LaTb7Sm2
Calculated powder XRD pattern, Cu Kα, 1.54184 Å. Input: a cell relaxed with PBE.

Peak list (8 most intense, 5 to 70 degrees two-theta, by intensity)
- d = 2.936 Å, rel. 100
- d = 2.542 Å, rel. 51
- d = 1.797 Å, rel. 30
- d = 1.532 Å, rel. 29
- d = 1.535 Å, rel. 14
- d = 1.469 Å, rel. 6
- d = 1.466 Å, rel. 6
- d = 1.801 Å, rel. 6

abc: 6.222 6.227 9.508
angles: 102.51 109.04 99.56
Space group P-1 (No. 2)
Inequivalent atoms, fractional coordinates:
La 0.000 0.000 0.000 (multiplicity 1)
Tb 0.000 0.500 0.500 (multiplicity 1)
Tb 0.200 0.000 0.401 (multiplicity 2)
Tb 0.202 0.500 0.899 (multiplicity 2)
Tb 0.397 0.999 0.797 (multiplicity 2)
Sm 0.401 0.502 0.301 (multiplicity 2)

(3)
# La5Tb6Sm2
Calculated powder XRD pattern, Cu Kα, 1.54184 Å. Input: a cell relaxed with PBE.

Peak list (12 most intense, 5 to 70 degrees two-theta, by intensity)
- d = 2.896 Å, rel. 100
- d = 2.836 Å, rel. 86
- d = 2.923 Å, rel. 60
- d = 2.668 Å, rel. 41
- d = 2.497 Å, rel. 41
- d = 1.548 Å, rel. 22
- d = 2.607 Å, rel. 21
- d = 1.645 Å, rel. 21
- d = 1.826 Å, rel. 20
- d = 1.544 Å, rel. 17
- d = 2.976 Å, rel. 16
- d = 3.338 Å, rel. 15

abc: 11.806 20.879 3.651
angles: 90.00 90.00 90.00
Space group Pbam (No. 55)
Inequivalent atoms, fractional coordinates:
La 0.000 0.000 0.000 (multiplicity 2)
La 0.078 0.273 0.000 (multiplicity 4)
La 0.201 0.549 0.000 (multiplicity 4)
Tb 0.061 0.420 0.500 (multiplicity 4)
Tb 0.079 0.132 0.500 (multiplicity 4)
Tb 0.179 0.863 0.000 (multiplicity 4)
Sm 0.176 0.712 0.500 (multiplicity 4)

(4)
# La6TbSm2
Calculated powder XRD pattern, Cu Kα, 1.54184 Å. Input: a cell relaxed with PBE.

Peak list (12 most intense, 5 to 70 degrees two-theta, by intensity)
- d = 2.997 Å, rel. 100
- d = 3.013 Å, rel. 59
- d = 3.144 Å, rel. 58
- d = 2.787 Å, rel. 49
- d = 2.458 Å, rel. 30
- d = 2.393 Å, rel. 30
- d = 1.637 Å, rel. 25
- d = 1.596 Å, rel. 24
- d = 1.737 Å, rel. 19
- d = 2.008 Å, rel. 17
- d = 1.578 Å, rel. 17
- d = 1.789 Å, rel. 15

abc: 9.577 18.081 3.703
angles: 90.00 90.00 90.00
Space group Cmmm (No. 65)
Inequivalent atoms, fractional coordinates:
La 0.172 0.165 0.000 (multiplicity 8)
La 0.179 0.000 0.500 (multiplicity 4)
Tb 0.000 0.500 0.000 (multiplicity 2)
Sm 0.000 0.327 0.500 (multiplicity 4)

(5)
# La2Tb4Sm
Calculated powder XRD pattern, Cu Kα, 1.54184 Å. Input: a cell relaxed with PBE.

Peak list (12 most intense, 5 to 70 degrees two-theta, by intensity)
- d = 2.839 Å, rel. 100
- d = 2.771 Å, rel. 68
- d = 2.819 Å, rel. 32
- d = 1.613 Å, rel. 19
- d = 1.953 Å, rel. 18
- d = 1.965 Å, rel. 13
- d = 1.616 Å, rel. 12
- d = 1.605 Å, rel. 12
- d = 3.542 Å, rel. 12
- d = 1.653 Å, rel. 10
- d = 2.051 Å, rel. 10
- d = 1.645 Å, rel. 9

abc: 7.815 7.859 8.206
angles: 90.04 90.42 90.01
Space group P-1 (No. 2)
Inequivalent atoms, fractional coordinates:
La 0.000 0.000 0.000 (multiplicity 1)
La 0.000 0.000 0.500 (multiplicity 1)
La 0.000 0.500 0.000 (multiplicity 1)
La 0.500 0.000 0.000 (multiplicity 1)
Tb 0.247 0.257 0.718 (multiplicity 2)
Tb 0.247 0.743 0.718 (multiplicity 2)
Tb 0.251 0.254 0.281 (multiplicity 2)
Tb 0.251 0.746 0.281 (multiplicity 2)
Sm 0.500 0.500 0.000 (multiplicity 1)
Sm 0.500 0.500 0.500 (multiplicity 1)

(6)
# La6Tb2Sm
Calculated powder XRD pattern, Cu Kα, 1.54184 Å. Input: a cell relaxed with PBE.

Peak list (12 most intense, 5 to 70 degrees two-theta, by intensity)
- d = 2.758 Å, rel. 100
- d = 2.890 Å, rel. 68
- d = 3.077 Å, rel. 52
- d = 3.181 Å, rel. 47
- d = 1.577 Å, rel. 43
- d = 1.837 Å, rel. 38
- d = 2.211 Å, rel. 31
- d = 1.680 Å, rel. 31
- d = 1.529 Å, rel. 17
- d = 2.619 Å, rel. 13
- d = 3.007 Å, rel. 11
- d = 1.550 Å, rel. 10

abc: 3.6731 3.6731 27.6899
angles: 90.00 90.00 120.00
Space group P-6m2 (No. 187)
Inequivalent atoms, fractional coordinates:
La 0.0000 0.0000 0.0658 (multiplicity 2)
La 0.0000 0.0000 0.2772 (multiplicity 2)
La 0.3333 0.6667 0.3915 (multiplicity 2)
Tb 0.3333 0.6667 0.1699 (multiplicity 2)
Sm 0.0000 0.0000 0.5000 (multiplicity 1)

(7)
# LaTb7Sm12
Calculated powder XRD pattern, Cu Kα, 1.54184 Å. Input: a cell relaxed with PBE.

Peak list (12 most intense, 5 to 70 degrees two-theta, by intensity)
- d = 2.879 Å, rel. 100
- d = 2.833 Å, rel. 72
- d = 2.646 Å, rel. 38
- d = 3.103 Å, rel. 38
- d = 1.643 Å, rel. 21
- d = 1.878 Å, rel. 18
- d = 1.677 Å, rel. 17
- d = 1.607 Å, rel. 14
- d = 2.610 Å, rel. 12
- d = 1.534 Å, rel. 11
- d = 3.126 Å, rel. 9
- d = 1.408 Å, rel. 9

abc: 13.4159 13.4159 12.8805
angles: 90.00 90.00 120.00
Space group R-3m (No. 166, hexagonal axes)
Inequivalent atoms, fractional coordinates:
La 0.0000 0.0000 0.0000 (multiplicity 3)
Tb 0.0000 0.0000 0.5000 (multiplicity 3)
Tb 0.0399 0.5200 0.6174 (multiplicity 18)
Sm 0.0000 0.2618 0.5000 (multiplicity 18)
Sm 0.0894 0.1789 0.2684 (multiplicity 18)

(8)
# La3Tb7Sm2
Calculated powder XRD pattern, Cu Kα, 1.54184 Å. Input: a cell relaxed with PBE.

Peak list (12 most intense, 5 to 70 degrees two-theta, by intensity)
- d = 2.895 Å, rel. 100
- d = 2.832 Å, rel. 92
- d = 2.975 Å, rel. 90
- d = 2.540 Å, rel. 68
- d = 2.890 Å, rel. 65
- d = 1.702 Å, rel. 63
- d = 1.538 Å, rel. 50
- d = 2.724 Å, rel. 49
- d = 3.229 Å, rel. 47
- d = 3.076 Å, rel. 46
- d = 3.014 Å, rel. 41
- d = 2.757 Å, rel. 40

abc: 38.808 3.632 5.808
angles: 90.00 93.17 90.00
Space group C2/m (No. 12)
Inequivalent atoms, fractional coordinates:
La 0.000 0.000 0.000 (multiplicity 2)
La 0.179 0.500 0.725 (multiplicity 4)
Tb 0.000 0.500 0.500 (multiplicity 2)
Tb 0.071 0.500 0.190 (multiplicity 4)
Tb 0.086 0.000 0.694 (multiplicity 4)
Tb 0.229 0.000 0.243 (multiplicity 4)
Sm 0.144 0.000 0.215 (multiplicity 4)